Calculated XRD peak list
Compound: Li2InSnBi
Radiation: Cu Kα (weighted mean of Kα1 and Kα2)
Structure: DFT lattice parameters and positions (PBE)
Lines closer than 0.1° are merged.

Structural model:
a = 7.289 Å, b = 4.443 Å, c = 7.553 Å
α = 90.00°, β = 99.74°, γ = 90.00°
Space group P2_1/m (No. 11)
Unique sites:
Li 0.039 0.250 0.358 x2
Li 0.459 0.250 0.151 x2
In 0.152 0.750 0.056 x2
Sn 0.351 0.750 0.450 x2
Bi 0.244 0.250 0.762 x2

Peak list (12 most intense, 15° ≤ 2θ ≤ 90°, sorted by position)
2θ 18.6, rel. 67.9, (1 0 1); 2θ 23.3, rel. 85.9, (0 1 1); 2θ 24.8, rel. 36.1, (2 0 0); 2θ 31.6, rel. 20.3, (2 0 -2); 2θ 32.2, rel. 34.1, (1 1 -2); 2θ 32.7, rel. 100.0, (2 1 -1); 2θ 35.3, rel. 82.0, (1 1 2); 2θ 36.2, rel. 37.9, (1 0 -3); 2θ 40.6, rel. 28.8, (0 2 0); 2θ 41.5, rel. 26.5, (3 0 1); 2θ 55.6, rel. 22.5, (1 2 -3); 2θ 59.5, rel. 18.6, (3 2 1)